Diffraction record for LiGdO3. The powder diffractogram is calculated, not measured: it uses a cell relaxed with PBE and λ = 1.5418 Å (Cu Kα).
Lines closer than 0.1° are merged.

Main lines, in order of falling intensity (10° ≤ 2θ ≤ 90°):
| hkl | Position (°2θ) | d/Å | Rel. int. |
| --- | --- | --- | --- |
| 1 0 0 | 24.03 | 3.704 | 1000 |
| 1 1 0 | 34.24 | 2.619 | 958 |
| 1 1 1 | 42.27 | 2.138 | 675 |
| 2 1 0 | 55.48 | 1.656 | 437 |
| 2 1 1 | 61.31 | 1.512 | 377 |
| 2 0 0 | 49.20 | 1.852 | 351 |

Crystal structure
Unit cell a=3.7035 b=3.7035 c=3.7035 alpha=90.00 beta=90.00 gamma=90.00
Space group Pm-3m (No. 221)
Asymmetric unit:
Li: 0.0000 0.0000 0.0000 x1
Gd: 0.5000 0.5000 0.5000 x1
O: 0.0000 0.0000 0.5000 x3

=====

Diffraction record for PrIn4Au2. The powder diffractogram is calculated, not measured: it uses a cell relaxed with PBE and λ = 1.5418 Å (Cu Kα).
Lines closer than 0.1° are merged.

Main lines, in order of falling intensity (10° ≤ 2θ ≤ 90°):
| hkl | Position (°2θ) | d/Å | Rel. int. |
| --- | --- | --- | --- |
| 2 1 2 | 31.85 | 2.810 | 1000 |
| 5 1 1 | 32.51 | 2.754 | 660 |
| 0 2 0 | 37.99 | 2.368 | 633 |
| 6 1 2 | 41.94 | 2.154 | 630 |
| 7 0 1 | 35.22 | 2.548 | 297 |
| 2 3 2 | 64.79 | 1.439 | 187 |

Crystal structure
Unit cell a=18.9618 b=4.7365 c=7.5079 alpha=90.00 beta=90.00 gamma=90.00
Space group Pnma (No. 62)
Asymmetric unit:
Pr: 0.1417 0.2500 0.0262 x4
In: 0.0352 0.7500 0.8507 x4
In: 0.0687 0.2500 0.4915 x4
In: 0.1849 0.7500 0.3256 x4
In: 0.1883 0.7500 0.7344 x4
Au: 0.0396 0.7500 0.2426 x4
Au: 0.2190 0.2500 0.5327 x4